1.
EuSi: calculated PXRD pattern (Cu Kα, 1.54184 Å), based on a structure optimized by DFT (GGA-PBE).
Neutral-atom scattering factors, no anomalous dispersion.

Structure:
Lattice parameters (Å, degrees): 4.5932 11.0978 3.9735 90.00 90.00 90.00
Positions (direct):
Eu  0.0000  0.1404  0.2500
Eu  0.0000  0.8596  0.7500
Eu  0.5000  0.3596  0.7500
Eu  0.5000  0.6404  0.2500
Si  0.0000  0.4343  0.2500
Si  0.0000  0.5657  0.7500
Si  0.5000  0.0657  0.7500
Si  0.5000  0.9343  0.2500

Peak list (8 most intense, 5 to 70 degrees two-theta, low angle first)
- 2θ = 20.9°, I 36
- 2θ = 27.6°, I 65
- 2θ = 30.8°, I 100
- 2θ = 31.0°, I 60
- 2θ = 32.3°, I 27
- 2θ = 38.6°, I 32
- 2θ = 39.2°, I 25
- 2θ = 48.6°, I 28


2.
Gd2InPd2: calculated PXRD pattern (Cu Kα, 1.54184 Å), based on a structure optimized by DFT (GGA-PBE).
Neutral-atom scattering factors, no anomalous dispersion.

Structure:
Lattice parameters (Å, degrees): 7.7725 7.7725 3.8026 90.00 90.00 90.00
Positions (direct):
Gd  0.1741  0.3259  0.0000
Gd  0.3259  0.8259  0.0000
Gd  0.6741  0.1741  0.0000
Gd  0.8259  0.6741  0.0000
In  0.0000  0.0000  0.5000
In  0.5000  0.5000  0.5000
Pd  0.1282  0.6282  0.5000
Pd  0.3718  0.1282  0.5000
Pd  0.6282  0.8718  0.5000
Pd  0.8718  0.3718  0.5000

Peak list (8 most intense, 5 to 70 degrees two-theta, low angle first)
- 2θ = 32.6°, I 10
- 2θ = 33.0°, I 33
- 2θ = 35.0°, I 100
- 2θ = 36.6°, I 42
- 2θ = 47.8°, I 15
- 2θ = 54.3°, I 15
- 2θ = 61.7°, I 18
- 2θ = 69.7°, I 11


3.
CaTlF3: calculated PXRD pattern (Cu Kα, 1.54184 Å), based on a structure optimized by DFT (GGA-PBE).
Neutral-atom scattering factors, no anomalous dispersion.

Structure:
Lattice parameters (Å, degrees): 6.3822 6.3822 6.3822 60.10 60.10 60.10
Positions (direct):
Ca  0.0000  0.0000  0.0000
Ca  0.5000  0.5000  0.5000
Tl  0.2373  0.2373  0.2373
Tl  0.7373  0.7373  0.7373
F  0.1929  0.7655  0.3090
F  0.2655  0.6929  0.8090
F  0.3090  0.1929  0.7655
F  0.6929  0.8090  0.2655
F  0.7655  0.3090  0.1929
F  0.8090  0.2655  0.6929

Peak list (8 most intense, 5 to 70 degrees two-theta, low angle first)
- 2θ = 19.7°, I 45
- 2θ = 27.9°, I 100
- 2θ = 34.4°, I 34
- 2θ = 39.9°, I 32
- 2θ = 44.9°, I 26
- 2θ = 49.4°, I 36
- 2θ = 57.7°, I 19
- 2θ = 65.3°, I 18


4.
DyMg2W3S8: calculated PXRD pattern (Cu Kα, 1.54184 Å), based on a structure optimized by DFT (GGA-PBE).
Neutral-atom scattering factors, no anomalous dispersion.

Structure:
Lattice parameters (Å, degrees): 7.2511 7.2511 7.4303 117.89 117.89 63.06
Positions (direct):
Dy  0.0000  0.0000  0.0000
Mg  0.3768  0.3768  0.1214
Mg  0.6232  0.6232  0.8786
W  0.0000  0.0000  0.5000
W  0.0000  0.5000  0.5000
W  0.5000  0.0000  0.5000
S  0.2280  0.7489  0.7199
S  0.2430  0.2430  0.7205
S  0.2511  0.7720  0.2801
S  0.2566  0.2566  0.2897
S  0.7434  0.7434  0.7103
S  0.7489  0.2280  0.7199
S  0.7570  0.7570  0.2795
S  0.7720  0.2511  0.2801

Peak list (8 most intense, 5 to 70 degrees two-theta, low angle first)
- 2θ = 14.3°, I 78
- 2θ = 14.5°, I 91
- 2θ = 15.1°, I 43
- 2θ = 29.2°, I 49
- 2θ = 33.8°, I 100
- 2θ = 34.7°, I 47
- 2θ = 48.0°, I 66
- 2θ = 50.4°, I 46


5.
Ba2ZrS4: calculated PXRD pattern (Cu Kα, 1.54184 Å), based on a structure optimized by DFT (GGA-PBE).
Neutral-atom scattering factors, no anomalous dispersion.

Structure:
Lattice parameters (Å, degrees): 5.0109 5.0109 15.8899 90.00 90.00 90.00
Positions (direct):
Ba  0.0000  0.0000  0.1417
Ba  0.0000  0.0000  0.8583
Ba  0.5000  0.5000  0.3583
Ba  0.5000  0.5000  0.6417
Zr  0.0000  0.0000  0.5000
Zr  0.5000  0.5000  0.0000
S  0.0000  0.0000  0.3368
S  0.0000  0.0000  0.6632
S  0.0000  0.5000  0.0000
S  0.0000  0.5000  0.5000
S  0.5000  0.0000  0.0000
S  0.5000  0.0000  0.5000
S  0.5000  0.5000  0.1632
S  0.5000  0.5000  0.8368

Peak list (8 most intense, 5 to 70 degrees two-theta, low angle first)
- 2θ = 24.5°, I 100
- 2θ = 25.1°, I 89
- 2θ = 33.9°, I 64
- 2θ = 35.8°, I 65
- 2θ = 42.6°, I 25
- 2θ = 43.9°, I 48
- 2θ = 50.1°, I 29
- 2θ = 63.2°, I 27


6.
RbHSO2: calculated PXRD pattern (Cu Kα, 1.54184 Å), based on a structure optimized by DFT (GGA-PBE).
Neutral-atom scattering factors, no anomalous dispersion.

Structure:
Lattice parameters (Å, degrees): 6.1300 6.1300 11.6698 101.86 101.86 58.52
Positions (direct):
Rb  0.1495  0.1495  0.4180
Rb  0.2522  0.2522  0.8221
Rb  0.7478  0.7478  0.1779
Rb  0.8505  0.8505  0.5820
H  0.0671  0.0671  0.0945
H  0.2196  0.2196  0.1379
H  0.7804  0.7804  0.8621
H  0.9329  0.9329  0.9055
S  0.4163  0.4163  0.1339
S  0.4599  0.4599  0.3163
S  0.5401  0.5401  0.6837
S  0.5837  0.5837  0.8661
O  0.1370  0.1370  0.1649
O  0.1993  0.6084  0.3558
O  0.3916  0.8007  0.6442
O  0.3974  0.3974  0.6431
O  0.6026  0.6026  0.3569
O  0.6084  0.1993  0.3558
O  0.8007  0.3916  0.6442
O  0.8630  0.8630  0.8351

Peak list (8 most intense, 5 to 70 degrees two-theta, low angle first)
- 2θ = 7.8°, I 56
- 2θ = 24.6°, I 80
- 2θ = 25.7°, I 54
- 2θ = 29.2°, I 100
- 2θ = 29.8°, I 92
- 2θ = 30.9°, I 35
- 2θ = 39.7°, I 39
- 2θ = 41.5°, I 25


7.
TcO2F3: calculated PXRD pattern (Cu Kα, 1.54184 Å), based on a structure optimized by DFT (GGA-PBE).
Neutral-atom scattering factors, no anomalous dispersion.

Structure:
Lattice parameters (Å, degrees): 8.0718 8.1123 11.9684 88.69 89.73 85.10
Positions (direct):
Tc  0.0314  0.2264  0.4147
Tc  0.0537  0.2525  0.8789
Tc  0.4137  0.2513  0.6299
Tc  0.4500  0.2848  0.0944
Tc  0.5500  0.7152  0.9056
Tc  0.5863  0.7487  0.3701
Tc  0.9463  0.7475  0.1211
Tc  0.9686  0.7736  0.5853
O  0.0527  0.8152  0.2295
O  0.0760  0.8352  0.6955
O  0.0821  0.4158  0.3728
O  0.0943  0.7163  0.0219
O  0.3668  0.1192  0.1528
O  0.3668  0.7135  0.8386
O  0.4085  0.7612  0.2956
O  0.4802  0.2800  0.4973
O  0.5198  0.7200  0.5027
O  0.5915  0.2388  0.7044
O  0.6332  0.2865  0.1614
O  0.6332  0.8808  0.8472
O  0.9057  0.2837  0.9781
O  0.9179  0.5842  0.6272
O  0.9240  0.1648  0.3045
O  0.9473  0.1848  0.7705
F  0.0000  0.0000  0.5000
F  0.0631  0.4718  0.8317
F  0.1466  0.7081  0.4923
F  0.1476  0.0463  0.9312
F  0.1638  0.2572  0.5669
F  0.2337  0.3295  0.9917
F  0.2346  0.1089  0.3806
F  0.2750  0.2251  0.7785
F  0.3293  0.4474  0.1775
F  0.3437  0.4731  0.6558
F  0.3887  0.0247  0.6255
F  0.4689  0.8144  0.0363
F  0.5000  0.5000  0.0000
F  0.5311  0.1856  0.9637
F  0.6113  0.9753  0.3745
F  0.6563  0.5269  0.3442
F  0.6707  0.5526  0.8225
F  0.7250  0.7749  0.2215
F  0.7654  0.8911  0.6194
F  0.7663  0.6705  0.0083
F  0.8362  0.7428  0.4331
F  0.8524  0.9537  0.0688
F  0.8534  0.2919  0.5077
F  0.9369  0.5282  0.1683

Peak list (8 most intense, 5 to 70 degrees two-theta, low angle first)
- 2θ = 14.8°, I 39
- 2θ = 16.2°, I 43
- 2θ = 20.8°, I 98
- 2θ = 21.2°, I 95
- 2θ = 21.9°, I 87
- 2θ = 22.0°, I 91
- 2θ = 22.1°, I 100
- 2θ = 26.7°, I 60


8.
MgH2: calculated PXRD pattern (Cu Kα, 1.54184 Å), based on a structure optimized by DFT (GGA-PBE).
Neutral-atom scattering factors, no anomalous dispersion.

Structure:
Lattice parameters (Å, degrees): 4.8232 4.8232 4.8232 90.00 90.00 90.00
Positions (direct):
Mg  0.0000  0.0000  0.0000
Mg  0.0000  0.5000  0.5000
Mg  0.5000  0.0000  0.5000
Mg  0.5000  0.5000  0.0000
H  0.1519  0.6519  0.8481
H  0.1519  0.8481  0.3481
H  0.3481  0.1519  0.8481
H  0.3481  0.3481  0.3481
H  0.6519  0.6519  0.6519
H  0.6519  0.8481  0.1519
H  0.8481  0.1519  0.6519
H  0.8481  0.3481  0.1519

Peak list (5 most intense, 5 to 70 degrees two-theta, low angle first)
- 2θ = 32.1°, I 100
- 2θ = 37.3°, I 48
- 2θ = 53.8°, I 35
- 2θ = 64.0°, I 41
- 2θ = 67.2°, I 11


9.
Ba2IrO4: calculated PXRD pattern (Cu Kα, 1.54184 Å), based on a structure optimized by DFT (GGA-PBE).
Neutral-atom scattering factors, no anomalous dispersion.

Structure:
Lattice parameters (Å, degrees): 4.0630 4.0630 13.4910 90.00 90.00 90.00
Positions (direct):
Ba  0.0000  0.0000  0.1452
Ba  0.0000  0.0000  0.8548
Ba  0.5000  0.5000  0.3548
Ba  0.5000  0.5000  0.6452
Ir  0.0000  0.0000  0.5000
Ir  0.5000  0.5000  0.0000
O  0.0000  0.0000  0.3453
O  0.0000  0.0000  0.6547
O  0.0000  0.5000  0.0000
O  0.0000  0.5000  0.5000
O  0.5000  0.0000  0.0000
O  0.5000  0.0000  0.5000
O  0.5000  0.5000  0.1547
O  0.5000  0.5000  0.8453

Peak list (8 most intense, 5 to 70 degrees two-theta, low angle first)
- 2θ = 13.1°, I 22
- 2θ = 29.6°, I 100
- 2θ = 31.1°, I 57
- 2θ = 40.1°, I 28
- 2θ = 44.6°, I 27
- 2θ = 51.6°, I 18
- 2θ = 54.5°, I 41
- 2θ = 61.5°, I 23


10.
ScTaOs2: calculated PXRD pattern (Cu Kα, 1.54184 Å), based on a structure optimized by DFT (GGA-PBE).
Neutral-atom scattering factors, no anomalous dispersion.

Structure:
Lattice parameters (Å, degrees): 6.3934 6.3934 6.3934 90.00 90.00 90.00
Positions (direct):
Sc  0.0000  0.0000  0.0000
Sc  0.0000  0.5000  0.5000
Sc  0.5000  0.0000  0.5000
Sc  0.5000  0.5000  0.0000
Ta  0.0000  0.0000  0.5000
Ta  0.0000  0.5000  0.0000
Ta  0.5000  0.0000  0.0000
Ta  0.5000  0.5000  0.5000
Os  0.2500  0.2500  0.2500
Os  0.2500  0.2500  0.7500
Os  0.2500  0.7500  0.2500
Os  0.2500  0.7500  0.7500
Os  0.7500  0.2500  0.2500
Os  0.7500  0.2500  0.7500
Os  0.7500  0.7500  0.2500
Os  0.7500  0.7500  0.7500

Peak list (8 most intense, 5 to 70 degrees two-theta, low angle first)
- 2θ = 24.1°, I 12
- 2θ = 27.9°, I 8
- 2θ = 39.9°, I 100
- 2θ = 47.1°, I 6
- 2θ = 49.4°, I 2
- 2θ = 57.7°, I 17
- 2θ = 63.4°, I 3
- 2θ = 65.3°, I 3


11.
HoS: calculated PXRD pattern (Cu Kα, 1.54184 Å), based on a structure optimized by DFT (GGA-PBE).
Neutral-atom scattering factors, no anomalous dispersion.

Structure:
Lattice parameters (Å, degrees): 3.7227 3.7227 29.8257 90.00 90.00 90.00
Positions (direct):
Ho  0.0000  0.0000  0.1561
Ho  0.0000  0.0000  0.8439
S  0.5000  0.5000  0.1699
S  0.5000  0.5000  0.8301

Peak list (8 most intense, 5 to 70 degrees two-theta, low angle first)
- 2θ = 5.9°, I 40
- 2θ = 8.9°, I 100
- 2θ = 11.9°, I 24
- 2θ = 17.8°, I 20
- 2θ = 25.6°, I 15
- 2θ = 30.0°, I 13
- 2θ = 35.3°, I 15
- 2θ = 38.7°, I 17


12.
TmU2S3O2: calculated PXRD pattern (Cu Kα, 1.54184 Å), based on a structure optimized by DFT (GGA-PBE).
Neutral-atom scattering factors, no anomalous dispersion.

Structure:
Lattice parameters (Å, degrees): 3.7912 3.7912 21.0300 90.00 90.00 90.00
Positions (direct):
Tm  0.0000  0.0000  0.0000
Tm  0.5000  0.5000  0.5000
U  0.0000  0.0000  0.3141
U  0.0000  0.0000  0.6859
U  0.5000  0.5000  0.1859
U  0.5000  0.5000  0.8141
S  0.0000  0.0000  0.1275
S  0.0000  0.0000  0.5000
S  0.0000  0.0000  0.8725
S  0.5000  0.5000  0.0000
S  0.5000  0.5000  0.3725
S  0.5000  0.5000  0.6275
O  0.0000  0.5000  0.2500
O  0.0000  0.5000  0.7500
O  0.5000  0.0000  0.2500
O  0.5000  0.0000  0.7500

Peak list (8 most intense, 5 to 70 degrees two-theta, low angle first)
- 2θ = 8.4°, I 27
- 2θ = 25.4°, I 29
- 2θ = 26.7°, I 100
- 2θ = 31.8°, I 26
- 2θ = 33.4°, I 53
- 2θ = 42.5°, I 39
- 2θ = 48.0°, I 23
- 2θ = 55.8°, I 29


13.
GdSbPd: calculated PXRD pattern (Cu Kα, 1.54184 Å), based on a structure optimized by DFT (GGA-PBE).
Neutral-atom scattering factors, no anomalous dispersion.

Structure:
Lattice parameters (Å, degrees): 4.6269 4.6269 7.5294 90.00 90.00 120.00
Positions (direct):
Gd  0.0000  0.0000  0.0000
Gd  0.0000  0.0000  0.5000
Sb  0.3333  0.6667  0.2734
Sb  0.6667  0.3333  0.7734
Pd  0.3333  0.6667  0.6759
Pd  0.6667  0.3333  0.1759

Peak list (8 most intense, 5 to 70 degrees two-theta, low angle first)
- 2θ = 25.2°, I 12
- 2θ = 32.6°, I 100
- 2θ = 38.9°, I 75
- 2θ = 42.5°, I 20
- 2θ = 51.7°, I 27
- 2θ = 63.7°, I 12
- 2θ = 66.3°, I 8
- 2θ = 66.6°, I 25